# 1
For CsOsO3, a crystal structure in the Materials Project, relaxed with GGA-PBE gives the computed powder X-ray diffraction pattern in this record (λ = 1.5418 Å (Cu Kα)).
Neutral-atom scattering factors, no anomalous dispersion.

The 10 most intense peaks (10° ≤ 2θ ≤ 90°), by angle:
| two_theta | I/Imax |
| --- | --- |
| 21.9 | 7 |
| 31.2 | 100 |
| 44.7 | 27 |
| 50.3 | 3 |
| 55.5 | 40 |
| 65.1 | 17 |
| 69.5 | 1 |
| 73.9 | 18 |
| 82.4 | 6 |
| 86.5 | 1 |

a = 4.055 Å, b = 4.055 Å, c = 4.055 Å
α = 90.00°, β = 90.00°, γ = 90.00°
Sites, in units of the cell vectors:
Cs (0.000, 0.000, 0.000)
Os (0.500, 0.500, 0.500)
O (0.000, 0.500, 0.500)
O (0.500, 0.000, 0.500)
O (0.500, 0.500, 0.000)

---

# 2
For HoIr2, a crystal structure in the Materials Project, relaxed with GGA-PBE gives the computed powder X-ray diffraction pattern in this record (λ = 1.5418 Å (Cu Kα)).
Neutral-atom scattering factors, no anomalous dispersion.

The 12 most intense peaks (10° ≤ 2θ ≤ 90°), by angle:
| two_theta | I/Imax |
| --- | --- |
| 20.3 | 10 |
| 33.5 | 22 |
| 39.5 | 100 |
| 41.3 | 45 |
| 48.1 | 7 |
| 52.7 | 3 |
| 59.9 | 9 |
| 63.9 | 33 |
| 70.4 | 29 |
| 80.2 | 4 |
| 83.8 | 12 |
| 85.0 | 18 |

a = 5.352 Å, b = 5.352 Å, c = 5.352 Å
α = 60.00°, β = 60.00°, γ = 60.00°
Sites, in units of the cell vectors:
Ho (0.125, 0.125, 0.125)
Ho (0.875, 0.875, 0.875)
Ir (0.000, 0.500, 0.500)
Ir (0.500, 0.000, 0.500)
Ir (0.500, 0.500, 0.000)
Ir (0.500, 0.500, 0.500)

---

# 3
For TaCo4Mo, a crystal structure in the Materials Project, relaxed with GGA-PBE gives the computed powder X-ray diffraction pattern in this record (λ = 1.5418 Å (Cu Kα)).
Neutral-atom scattering factors, no anomalous dispersion.

The 12 most intense peaks (10° ≤ 2θ ≤ 90°), by angle:
| two_theta | I/Imax |
| --- | --- |
| 11.5 | 18 |
| 24.7 | 15 |
| 31.9 | 21 |
| 38.1 | 61 |
| 41.5 | 100 |
| 44.3 | 15 |
| 45.0 | 90 |
| 45.9 | 64 |
| 71.2 | 38 |
| 73.8 | 24 |
| 77.6 | 24 |
| 81.6 | 22 |

a = 4.721 Å, b = 4.721 Å, c = 7.701 Å
α = 90.00°, β = 90.00°, γ = 120.00°
Sites, in units of the cell vectors:
Ta (0.333, 0.667, 0.076)
Ta (0.667, 0.333, 0.924)
Co (0.000, 0.000, 0.000)
Co (0.000, 0.000, 0.500)
Co (0.169, 0.338, 0.749)
Co (0.169, 0.831, 0.749)
Co (0.338, 0.169, 0.251)
Co (0.662, 0.831, 0.749)
Co (0.831, 0.169, 0.251)
Co (0.831, 0.662, 0.251)
Mo (0.333, 0.667, 0.444)
Mo (0.667, 0.333, 0.556)

---

# 4
For InPd3, a crystal structure in the Materials Project, relaxed with GGA-PBE gives the computed powder X-ray diffraction pattern in this record (λ = 1.5418 Å (Cu Kα)).
Neutral-atom scattering factors, no anomalous dispersion.

The 5 most intense peaks (10° ≤ 2θ ≤ 90°), by angle:
| two_theta | I/Imax |
| --- | --- |
| 38.5 | 100 |
| 44.8 | 49 |
| 65.2 | 31 |
| 78.4 | 36 |
| 82.6 | 11 |

a = 4.045 Å, b = 4.045 Å, c = 4.045 Å
α = 90.00°, β = 90.00°, γ = 90.00°
Sites, in units of the cell vectors:
In (0.000, 0.000, 0.000)
Pd (0.000, 0.500, 0.500)
Pd (0.500, 0.000, 0.500)
Pd (0.500, 0.500, 0.000)

---

# 5
For Rb3LaBr6, a crystal structure in the Materials Project, relaxed with GGA-PBE gives the computed powder X-ray diffraction pattern in this record (λ = 1.5418 Å (Cu Kα)).
Neutral-atom scattering factors, no anomalous dispersion.

The 12 most intense peaks (10° ≤ 2θ ≤ 90°), by angle:
| two_theta | I/Imax |
| --- | --- |
| 14.3 | 33 |
| 20.2 | 34 |
| 24.8 | 48 |
| 28.8 | 100 |
| 32.2 | 16 |
| 35.4 | 15 |
| 41.1 | 73 |
| 48.6 | 20 |
| 51.0 | 25 |
| 59.6 | 11 |
| 67.5 | 31 |
| 74.9 | 22 |

a = 8.780 Å, b = 8.780 Å, c = 8.780 Å
α = 60.00°, β = 60.00°, γ = 60.00°
Sites, in units of the cell vectors:
Rb (0.000, 0.000, 0.000)
Rb (0.250, 0.250, 0.250)
Rb (0.750, 0.750, 0.750)
La (0.500, 0.500, 0.500)
Br (0.264, 0.264, 0.736)
Br (0.264, 0.736, 0.264)
Br (0.264, 0.736, 0.736)
Br (0.736, 0.264, 0.264)
Br (0.736, 0.264, 0.736)
Br (0.736, 0.736, 0.264)

---

# 6
For Sr2CaI6, a crystal structure in the Materials Project, relaxed with GGA-PBE gives the computed powder X-ray diffraction pattern in this record (λ = 1.5418 Å (Cu Kα)).
Neutral-atom scattering factors, no anomalous dispersion.

The 12 most intense peaks (10° ≤ 2θ ≤ 90°), by angle:
| two_theta | I/Imax |
| --- | --- |
| 18.8 | 12 |
| 24.0 | 18 |
| 24.8 | 47 |
| 25.3 | 100 |
| 32.5 | 24 |
| 32.9 | 36 |
| 38.3 | 34 |
| 39.4 | 18 |
| 43.0 | 23 |
| 45.7 | 12 |
| 47.1 | 15 |
| 63.9 | 14 |

a = 7.420 Å, b = 27.455 Å, c = 8.223 Å
α = 90.00°, β = 90.00°, γ = 90.00°
Sites, in units of the cell vectors:
Sr (0.000, 0.047, 0.250)
Sr (0.000, 0.286, 0.750)
Sr (0.000, 0.714, 0.250)
Sr (0.000, 0.953, 0.750)
Sr (0.500, 0.214, 0.250)
Sr (0.500, 0.453, 0.750)
Sr (0.500, 0.547, 0.250)
Sr (0.500, 0.786, 0.750)
Ca (0.000, 0.380, 0.250)
Ca (0.000, 0.620, 0.750)
Ca (0.500, 0.120, 0.750)
Ca (0.500, 0.880, 0.250)
I (0.237, 0.372, 0.567)
I (0.237, 0.628, 0.067)
I (0.239, 0.298, 0.084)
I (0.239, 0.702, 0.584)
I (0.249, 0.040, 0.582)
I (0.249, 0.960, 0.082)
I (0.251, 0.460, 0.082)
I (0.251, 0.540, 0.582)
I (0.261, 0.202, 0.584)
I (0.261, 0.798, 0.084)
I (0.263, 0.128, 0.067)
I (0.263, 0.872, 0.567)
I (0.737, 0.128, 0.433)
I (0.737, 0.872, 0.933)
I (0.739, 0.202, 0.916)
I (0.739, 0.798, 0.416)
I (0.749, 0.460, 0.418)
I (0.749, 0.540, 0.918)
I (0.751, 0.040, 0.918)
I (0.751, 0.960, 0.418)
I (0.761, 0.298, 0.416)
I (0.761, 0.702, 0.916)
I (0.763, 0.372, 0.933)
I (0.763, 0.628, 0.433)

---

# 7
For Al2CuSi2O8F, a crystal structure in the Materials Project, relaxed with GGA-PBE gives the computed powder X-ray diffraction pattern in this record (λ = 1.5418 Å (Cu Kα)).
Neutral-atom scattering factors, no anomalous dispersion.

The 12 most intense peaks (10° ≤ 2θ ≤ 90°), by angle:
| two_theta | I/Imax |
| --- | --- |
| 20.7 | 23 |
| 21.6 | 100 |
| 26.9 | 79 |
| 27.7 | 13 |
| 32.3 | 12 |
| 32.8 | 20 |
| 33.0 | 20 |
| 35.1 | 18 |
| 37.6 | 35 |
| 38.7 | 16 |
| 42.1 | 20 |
| 64.3 | 25 |

a = 4.883 Å, b = 8.998 Å, c = 14.897 Å
α = 90.00°, β = 108.79°, γ = 90.00°
Sites, in units of the cell vectors:
Al (0.053, 0.133, 0.453)
Al (0.053, 0.367, 0.953)
Al (0.352, 0.633, 0.452)
Al (0.352, 0.867, 0.952)
Al (0.648, 0.133, 0.048)
Al (0.648, 0.367, 0.548)
Al (0.947, 0.633, 0.047)
Al (0.947, 0.867, 0.547)
Cu (0.107, 0.647, 0.249)
Cu (0.107, 0.853, 0.749)
Cu (0.893, 0.147, 0.251)
Cu (0.893, 0.353, 0.751)
Si (0.240, 0.559, 0.645)
Si (0.240, 0.941, 0.145)
Si (0.444, 0.561, 0.853)
Si (0.444, 0.939, 0.353)
Si (0.556, 0.061, 0.647)
Si (0.556, 0.439, 0.147)
Si (0.760, 0.059, 0.855)
Si (0.760, 0.441, 0.355)
O (0.052, 0.533, 0.354)
O (0.052, 0.967, 0.854)
O (0.083, 0.745, 0.478)
O (0.083, 0.755, 0.978)
O (0.160, 0.037, 0.356)
O (0.160, 0.463, 0.856)
O (0.177, 0.742, 0.647)
O (0.177, 0.758, 0.147)
O (0.259, 0.018, 0.561)
O (0.259, 0.482, 0.061)
O (0.367, 0.509, 0.560)
O (0.367, 0.991, 0.060)
O (0.372, 0.741, 0.851)
O (0.372, 0.759, 0.351)
O (0.488, 0.525, 0.749)
O (0.488, 0.975, 0.249)
O (0.512, 0.025, 0.751)
O (0.512, 0.475, 0.251)
O (0.628, 0.241, 0.649)
O (0.628, 0.259, 0.149)
O (0.633, 0.009, 0.940)
O (0.633, 0.491, 0.440)
O (0.741, 0.518, 0.939)
O (0.741, 0.982, 0.439)
O (0.823, 0.242, 0.853)
O (0.823, 0.258, 0.353)
O (0.840, 0.537, 0.144)
O (0.840, 0.963, 0.644)
O (0.917, 0.245, 0.022)
O (0.917, 0.255, 0.522)
O (0.948, 0.033, 0.146)
O (0.948, 0.467, 0.646)
F (0.365, 0.246, 0.966)
F (0.365, 0.254, 0.466)
F (0.635, 0.746, 0.534)
F (0.635, 0.754, 0.034)

---

# 8
For NaAl3, a crystal structure in the Materials Project, relaxed with GGA-PBE gives the computed powder X-ray diffraction pattern in this record (λ = 1.5418 Å (Cu Kα)).
Neutral-atom scattering factors, no anomalous dispersion.

The 9 most intense peaks (10° ≤ 2θ ≤ 90°), by angle:
| two_theta | I/Imax |
| --- | --- |
| 36.8 | 100 |
| 41.3 | 36 |
| 45.6 | 13 |
| 59.8 | 11 |
| 63.2 | 19 |
| 72.3 | 25 |
| 78.3 | 10 |
| 78.4 | 10 |
| 89.6 | 4 |

a = 5.041 Å, b = 5.041 Å, c = 5.041 Å
α = 128.56°, β = 128.56°, γ = 75.72°
Sites, in units of the cell vectors:
Na (0.000, 0.000, 0.000)
Al (0.250, 0.750, 0.500)
Al (0.500, 0.500, 0.000)
Al (0.750, 0.250, 0.500)